Entry 1:
# Pr2GaHg
Theoretical powder XRD pattern, Cu Ka. Input: a crystal structure in Alexandria, relaxed with PBE.
Neutral-atom scattering factors, no anomalous dispersion.

Structural model:
```
Pr2GaHg
1.0
3.7183 0.0000 0.0000
0.0000 3.7183 0.0000
0.0000 0.0000 7.8966
Pr Ga Hg
2 1 1
direct
0.0000 0.0000 0.2355 Pr
0.0000 0.0000 0.7645 Pr
0.5000 0.5000 0.0000 Ga
0.5000 0.5000 0.5000 Hg
```

Most intense lines, 2θ from 10° to 90°, sorted by position:
| 2θ (°) | intensity |
| --- | --- |
| 11.21 | 9 |
| 26.50 | 13 |
| 33.09 | 100 |
| 34.10 | 50 |
| 45.97 | 10 |
| 48.99 | 22 |
| 58.46 | 19 |
| 60.40 | 36 |
| 69.44 | 11 |
| 76.83 | 8 |
| 81.37 | 8 |
| 81.93 | 9 |

Entry 2:
# Hg3H2Pd6
Theoretical powder XRD pattern, Cu Ka. Input: a crystal structure in Alexandria, relaxed with PBE.
Neutral-atom scattering factors, no anomalous dispersion.

Structural model:
```
Hg3H2Pd6
1.0
11.9515 -1.5094 0.0000
11.9515 1.5094 0.0000
-0.8893 0.0000 4.6388
Hg H Pd
3 2 6
direct
0.0000 0.0000 0.0000 Hg
0.2051 0.2051 0.1913 Hg
0.7949 0.7949 0.8087 Hg
0.3998 0.3998 0.5347 H
0.6002 0.6002 0.4653 H
0.0654 0.0654 0.5632 Pd
0.3242 0.3242 0.3377 Pd
0.3983 0.3983 0.9184 Pd
0.6017 0.6017 0.0816 Pd
0.6758 0.6758 0.6623 Pd
0.9346 0.9346 0.4368 Pd
```

Most intense lines, 2θ from 10° to 90°, sorted by position:
| 2θ (°) | intensity |
| --- | --- |
| 35.33 | 74 |
| 36.13 | 68 |
| 38.11 | 100 |
| 38.34 | 31 |
| 38.65 | 41 |
| 39.30 | 54 |
| 39.63 | 60 |
| 42.28 | 69 |
| 42.49 | 51 |
| 61.43 | 28 |
| 67.40 | 31 |
| 74.62 | 28 |

Entry 3:
# AcCeCoI
Theoretical powder XRD pattern, Cu Ka. Input: a crystal structure in Alexandria, relaxed with PBE.
Neutral-atom scattering factors, no anomalous dispersion.

Structural model:
```
AcCeCoI
1.0
3.4772 -2.1711 0.0000
3.4772 2.1711 0.0000
-2.7349 0.0000 8.2340
Ac Ce Co I
1 1 1 1
direct
0.0000 0.0000 0.0000 Ac
0.2484 0.2484 0.6402 Ce
0.5766 0.5766 0.7806 Co
0.7867 0.7867 0.3363 I
```

Most intense lines, 2θ from 10° to 90°, sorted by position:
| 2θ (°) | intensity |
| --- | --- |
| 10.74 | 18 |
| 24.54 | 23 |
| 25.72 | 21 |
| 28.56 | 61 |
| 28.85 | 18 |
| 29.87 | 100 |
| 32.25 | 34 |
| 32.63 | 28 |
| 41.60 | 23 |
| 44.34 | 34 |
| 44.72 | 18 |
| 53.83 | 17 |

Entry 4:
# TbRhO4
Theoretical powder XRD pattern, Cu Ka. Input: a crystal structure in Alexandria, relaxed with PBE.
Neutral-atom scattering factors, no anomalous dispersion.

Structural model:
```
TbRhO4
1.0
5.5292 -2.5913 0.0000
5.5292 2.5913 0.0000
-1.8614 0.0000 5.0272
Tb Rh O
2 2 8
direct
0.2242 0.7758 0.7500 Tb
0.7758 0.2242 0.2500 Tb
0.0000 0.5000 0.0000 Rh
0.5000 0.0000 0.5000 Rh
0.1174 0.2032 0.6491 O
0.2032 0.1174 0.1491 O
0.3197 0.4901 0.0403 O
0.4901 0.3197 0.5403 O
0.5099 0.6803 0.4597 O
0.6803 0.5099 0.9597 O
0.7968 0.8826 0.8509 O
0.8826 0.7968 0.3509 O
```

Most intense lines, 2θ from 10° to 90°, sorted by position:
| 2θ (°) | intensity |
| --- | --- |
| 28.14 | 100 |
| 31.05 | 74 |
| 33.80 | 25 |
| 34.61 | 40 |
| 45.23 | 14 |
| 49.16 | 25 |
| 49.75 | 24 |
| 55.33 | 18 |
| 56.41 | 15 |
| 58.16 | 24 |
| 59.82 | 13 |
| 61.45 | 12 |